(1)
# Sc2B6W
Calculated PXRD pattern, CuKα. Input: a DFT-relaxed cell (PBE, Alexandria).

Structural model:
```
data_Sc2B6W
_cell_length_a 5.3493
_cell_length_b 5.3493
_cell_length_c 3.3964
_cell_angle_alpha 90.00
_cell_angle_beta 90.00
_cell_angle_gamma 120.00
_space_group_name_H-M_alt 'P 1'
_space_group_IT_number 1
_space_group_name_Hall 'P 1'
loop_
_atom_site_label
_atom_site_type_symbol
_atom_site_fract_x
_atom_site_fract_y
_atom_site_fract_z
_atom_site_occupancy
Sc1 Sc 0.3333 0.6667 0.0000 1
Sc2 Sc 0.6667 0.3333 0.0000 1
B1 B 0.0000 0.3300 0.5000 1
B2 B 0.0000 0.6700 0.5000 1
B3 B 0.3300 0.0000 0.5000 1
B4 B 0.3300 0.3300 0.5000 1
B5 B 0.6700 0.0000 0.5000 1
B6 B 0.6700 0.6700 0.5000 1
W1 W 0.0000 0.0000 0.0000 1
```

Largest 10 diffraction maxima, in order of falling intensity, 10 to 90 degrees two-theta:
43.05 deg, intensity 100.0
19.16 deg, intensity 84.5
33.50 deg, intensity 71.6
32.69 deg, intensity 46.0
26.24 deg, intensity 34.9
65.06 deg, intensity 20.9
59.90 deg, intensity 20.7
59.39 deg, intensity 18.3
47.51 deg, intensity 17.5
76.57 deg, intensity 17.4

---

(2)
# Ti6Sn3H
Calculated PXRD pattern, CuKα. Input: a DFT-relaxed cell (PBE, Alexandria).

Structural model:
```
data_Ti6Sn3H
_cell_length_a 5.5968
_cell_length_b 5.5968
_cell_length_c 7.0648
_cell_angle_alpha 107.40
_cell_angle_beta 107.40
_cell_angle_gamma 59.92
_space_group_name_H-M_alt 'P 1'
_space_group_IT_number 1
_space_group_name_Hall 'P 1'
loop_
_atom_site_label
_atom_site_type_symbol
_atom_site_fract_x
_atom_site_fract_y
_atom_site_fract_z
_atom_site_occupancy
Ti1 Ti 0.1478 0.6519 0.6133 1
Ti2 Ti 0.1667 0.1667 0.8125 1
Ti3 Ti 0.3481 0.8522 0.3867 1
Ti4 Ti 0.6519 0.1478 0.6133 1
Ti5 Ti 0.8333 0.8333 0.1875 1
Ti6 Ti 0.8522 0.3481 0.3867 1
Sn1 Sn 0.3018 0.3018 0.2404 1
Sn2 Sn 0.5000 0.5000 0.0000 1
Sn3 Sn 0.6982 0.6982 0.7596 1
H1 H 0.0000 0.0000 0.5000 1
```

Largest 10 diffraction maxima, in order of falling intensity, 10 to 90 degrees two-theta:
38.70 deg, intensity 100.0
42.57 deg, intensity 93.6
24.91 deg, intensity 63.4
37.08 deg, intensity 60.2
34.83 deg, intensity 38.8
18.63 deg, intensity 38.2
32.16 deg, intensity 38.2
41.83 deg, intensity 28.4
36.27 deg, intensity 26.1
80.10 deg, intensity 23.7

---

(3)
# Ga2Sn2PtRh2
Calculated PXRD pattern, CuKα. Input: a DFT-relaxed cell (PBE, Alexandria).

Structural model:
```
data_Ga2Sn2PtRh2
_cell_length_a 7.3277
_cell_length_b 7.3277
_cell_length_c 7.3277
_cell_angle_alpha 142.14
_cell_angle_beta 142.14
_cell_angle_gamma 54.61
_space_group_name_H-M_alt 'P 1'
_space_group_IT_number 1
_space_group_name_Hall 'P 1'
loop_
_atom_site_label
_atom_site_type_symbol
_atom_site_fract_x
_atom_site_fract_y
_atom_site_fract_z
_atom_site_occupancy
Ga1 Ga 0.0000 0.5000 0.5000 1
Ga2 Ga 0.5000 0.0000 0.5000 1
Sn1 Sn 0.2015 0.2015 0.0000 1
Sn2 Sn 0.7985 0.7985 0.0000 1
Pt1 Pt 0.0000 0.0000 0.0000 1
Rh1 Rh 0.3981 0.3981 0.0000 1
Rh2 Rh 0.6019 0.6019 0.0000 1
```

Largest 10 diffraction maxima, in order of falling intensity, 10 to 90 degrees two-theta:
39.45 deg, intensity 100.0
26.51 deg, intensity 85.0
37.85 deg, intensity 84.6
55.82 deg, intensity 73.4
13.60 deg, intensity 33.1
54.60 deg, intensity 29.4
81.89 deg, intensity 25.0
69.42 deg, intensity 19.2
84.91 deg, intensity 16.9
61.70 deg, intensity 16.5